Entry 1:
Simulated powder X-ray diffraction pattern
Compound: LiLa6In5
Radiation: Cu Kα X-rays
Structure: DFT lattice parameters and positions (PBE)
No peak broadening, texture or thermal motion is included.

Largest 10 diffraction maxima, by angle, 10° ≤ 2θ ≤ 90°:
2.803 Å, I = 51
2.789 Å, I = 100
1.982 Å, I = 18
1.963 Å, I = 9
1.616 Å, I = 37
1.608 Å, I = 19
1.395 Å, I = 11
1.253 Å, I = 12
1.243 Å, I = 8
1.141 Å, I = 6

Atomic structure:
```
LiLa6In5
1.0
2.801 -8.414 0.000
2.801 8.414 0.000
0.000 0.000 7.851
Li La In
1 6 5
Cartesian
0.000 0.000 0.000
2.801 5.585 1.945
2.801 5.585 5.906
2.801 0.000 1.993
2.801 0.000 5.859
2.801 -5.585 1.945
2.801 -5.585 5.906
0.000 0.000 3.926
2.801 2.803 3.926
2.801 2.671 0.000
2.801 -2.671 0.000
2.801 -2.803 3.926
```

Entry 2:
Simulated powder X-ray diffraction pattern
Compound: Li2La2PmIn2
Radiation: Cu Kα X-rays
Structure: DFT lattice parameters and positions (PBE)
No peak broadening, texture or thermal motion is included.

Largest 10 diffraction maxima, by angle, 10° ≤ 2θ ≤ 90°:
4.237 Å, I = 82
2.861 Å, I = 100
2.645 Å, I = 88
2.477 Å, I = 100
1.873 Å, I = 29
1.808 Å, I = 28
1.494 Å, I = 27
1.460 Å, I = 28
1.452 Å, I = 36
1.430 Å, I = 20

Atomic structure:
```
Li2La2PmIn2
1.0
2.477 1.430 8.956
-2.477 1.430 8.956
0.000 -2.860 8.956
Li La Pm In
2 2 1 2
Cartesian
0.000 0.000 2.873
0.000 0.000 23.996
0.000 0.000 9.891
0.000 0.000 16.977
0.000 0.000 13.434
0.000 0.000 6.276
0.000 0.000 20.592
```

Entry 3:
Simulated powder X-ray diffraction pattern
Compound: LiLaPm2In4
Radiation: Cu Kα X-rays
Structure: DFT lattice parameters and positions (PBE)
No peak broadening, texture or thermal motion is included.

Largest 10 diffraction maxima, by angle, 10° ≤ 2θ ≤ 90°:
3.519 Å, I = 11
2.736 Å, I = 100
2.667 Å, I = 97
1.910 Å, I = 35
1.593 Å, I = 17
1.553 Å, I = 35
1.540 Å, I = 18
1.333 Å, I = 11
1.217 Å, I = 14
1.199 Å, I = 15

Atomic structure:
```
LiLaPm2In4
1.0
2.667 1.540 9.055
-2.667 1.540 9.055
0.000 -3.079 9.055
Li La Pm In
1 1 2 4
Cartesian
0.000 0.000 0.000
0.000 0.000 13.582
0.000 0.000 6.950
0.000 0.000 20.213
0.000 0.000 3.306
0.000 0.000 10.127
0.000 0.000 17.036
0.000 0.000 23.858
```

Entry 4:
Simulated powder X-ray diffraction pattern
Compound: LiLa2In6Rh
Radiation: Cu Kα X-rays
Structure: DFT lattice parameters and positions (PBE)
No peak broadening, texture or thermal motion is included.

Largest 10 diffraction maxima, by angle, 10° ≤ 2θ ≤ 90°:
2.910 Å, I = 100
2.520 Å, I = 80
1.782 Å, I = 55
1.520 Å, I = 30
1.518 Å, I = 10
1.456 Å, I = 14
1.260 Å, I = 8
1.157 Å, I = 12
1.128 Å, I = 12
1.126 Å, I = 12

Atomic structure:
```
LiLa2In6Rh
1.0
3.567 2.059 5.812
-3.567 2.059 5.812
0.000 -4.118 5.812
Li La In Rh
1 2 6 1
Cartesian
0.000 0.000 0.000
0.000 0.000 4.360
0.000 0.000 13.077
0.000 -2.124 7.220
-1.840 1.062 7.220
-1.840 -1.062 10.217
1.840 1.062 7.220
1.840 -1.062 10.217
0.000 2.124 10.217
0.000 0.000 8.719
```